Calculated PXRD pattern of CePmDyEr for Cu Kα, from a crystal structure in Alexandria, relaxed with PBE.
Intensities are scaled so that the largest is 100.

Cell and atoms:
Lattice parameters (Å, degrees): 5.6831 5.6831 5.6831 60.00 60.00 60.00
Atoms (fractional coordinates):
Ce  0.0000  0.0000  0.0000
Pm  0.2500  0.2500  0.2500
Dy  0.7500  0.7500  0.7500
Er  0.5000  0.5000  0.5000

Principal peaks in the range 2θ = 10–90°, by angle:
two_theta, d (Å), I (rel.)
31.5, 2.842, 100
45.1, 2.009, 19
56.1, 1.641, 39
65.7, 1.421, 12
74.7, 1.271, 17
83.3, 1.160, 4